Starting from a PBE-relaxed structure, the powder X-ray diffraction pattern of Er2AlGa3Ni2 was simulated for λ = 1.5418 Å (Cu Kα).
No peak broadening, texture or thermal motion is included.

Principal peaks in the range 5 to 70 degrees two-theta, low angle first:
2θ (°)  d_spacing  I/Imax  hkl
23.67  3.759  24.0  1 1 0
26.50  3.364  19.3  0 0 2
35.82  2.507  100.0  1 1 -2
37.33  2.409  36.2  3 1 -1
37.47  2.400  51.5  3 1 1
38.33  2.348  27.1  4 0 -1
38.52  2.337  18.9  4 0 1
44.68  2.028  33.0  0 2 0

Lattice parameters (Å, degrees): 9.997 4.056 6.727 90.00 90.40 90.00
Space group Cm (No. 8)
Symmetry-distinct sites (fractional):
1 Er 0.000 0.000 0.000 [2 per cell]
2 Er 0.134 0.000 0.504 [2 per cell]
3 Al 0.220 0.500 0.196 [2 per cell]
4 Ga 0.213 0.500 0.805 [2 per cell]
5 Ga 0.421 0.000 0.303 [2 per cell]
6 Ga 0.421 0.000 0.698 [2 per cell]
7 Ni 0.279 0.000 0.001 [2 per cell]
8 Ni 0.352 0.500 0.504 [2 per cell]

***

Starting from a PBE-relaxed structure, the powder X-ray diffraction pattern of Gd2ErAl5 was simulated for λ = 1.5418 Å (Cu Kα).
No peak broadening, texture or thermal motion is included.

Principal peaks in the range 5 to 70 degrees two-theta, low angle first:
2θ (°)  d_spacing  I/Imax  hkl
15.53  5.707  21.2  0 1 1
24.70  3.605  67.0  1 0 2
26.71  3.338  30.2  0 2 0
31.35  2.853  18.1  0 2 2
32.56  2.750  20.2  0 0 4
36.69  2.449  100.0  1 2 2
37.72  2.385  58.6  2 0 0
46.82  1.940  24.3  2 2 0

Lattice parameters (Å, degrees): 4.773 6.676 10.999 90.00 90.00 90.00
Space group Amm2 (No. 38)
Symmetry-distinct sites (fractional):
1 Gd 0.000 0.000 0.000 [2 per cell]
2 Gd 0.500 0.000 0.304 [2 per cell]
3 Er 0.500 0.000 0.812 [2 per cell]
4 Al 0.000 0.000 0.506 [2 per cell]
5 Al 0.000 0.223 0.723 [4 per cell]
6 Al 0.500 0.214 0.567 [4 per cell]

***

Starting from a PBE-relaxed structure, the powder X-ray diffraction pattern of GdEr2Al was simulated for λ = 1.5418 Å (Cu Kα).
No peak broadening, texture or thermal motion is included.

Principal peaks in the range 5 to 70 degrees two-theta, low angle first:
2θ (°)  d_spacing  I/Imax  hkl
22.35  3.978  26.4  1 1 1
32.72  2.737  100.0  1 2 2
33.11  2.705  21.4  1 3 1
33.22  2.697  20.2  0 1 3
34.37  2.609  23.8  0 4 0
35.81  2.507  25.2  2 0 0
50.48  1.808  16.2  2 4 0
62.41  1.488  15.7  3 2 2

Lattice parameters (Å, degrees): 5.015 10.437 8.375 90.00 90.00 90.00
Space group Ama2 (No. 40)
Symmetry-distinct sites (fractional):
1 Gd 0.250 0.112 0.000 [4 per cell]
2 Er 0.250 0.111 0.590 [4 per cell]
3 Er 0.250 0.382 0.797 [4 per cell]
4 Al 0.250 0.325 0.293 [4 per cell]

***

Starting from a PBE-relaxed structure, the powder X-ray diffraction pattern of GdErAl3Ge2 was simulated for λ = 1.5418 Å (Cu Kα).
No peak broadening, texture or thermal motion is included.

Principal peaks in the range 5 to 70 degrees two-theta, low angle first:
2θ (°)  d_spacing  I/Imax  hkl
13.31  6.653  55.0  0 0 1
26.33  3.384  35.4  1 1 -1
27.89  3.199  56.0  1 1 1
34.73  2.583  100.0  1 1 -2
35.32  2.541  56.4  3 1 -1
35.44  2.533  33.8  4 0 0
38.84  2.318  49.3  3 1 1
44.44  2.038  35.2  0 2 0

Lattice parameters (Å, degrees): 10.290 4.077 6.758 90.00 100.09 90.00
Space group Cm (No. 8)
Symmetry-distinct sites (fractional):
1 Gd 0.000 0.000 0.000 [2 per cell]
2 Er 0.233 0.000 0.633 [2 per cell]
3 Al 0.118 0.500 0.318 [2 per cell]
4 Al 0.314 0.000 0.194 [2 per cell]
5 Al 0.419 0.500 0.442 [2 per cell]
6 Ge 0.017 0.500 0.674 [2 per cell]
7 Ge 0.216 0.500 0.957 [2 per cell]

***

Starting from a PBE-relaxed structure, the powder X-ray diffraction pattern of Gd2ErMg3Al2Hg was simulated for λ = 1.5418 Å (Cu Kα).
No peak broadening, texture or thermal motion is included.

Principal peaks in the range 5 to 70 degrees two-theta, low angle first:
2θ (°)  d_spacing  I/Imax  hkl
19.57  4.535  80.9  1 0 0
27.70  3.220  58.2  0 2 2
27.89  3.200  28.7  0 4 0
31.18  2.868  39.2  1 3 1
34.15  2.626  100.0  1 2 2
34.30  2.614  50.4  1 4 0
39.75  2.268  30.4  2 0 0
49.16  1.853  32.2  2 2 2

Lattice parameters (Å, degrees): 4.535 12.798 7.453 90.00 90.00 90.00
Space group Amm2 (No. 38)
Symmetry-distinct sites (fractional):
1 Gd 0.000 0.212 0.000 [4 per cell]
2 Er 0.000 0.000 0.363 [2 per cell]
3 Mg 0.500 0.000 0.031 [2 per cell]
4 Mg 0.500 0.122 0.664 [4 per cell]
5 Al 0.500 0.165 0.288 [4 per cell]
6 Hg 0.000 0.000 0.783 [2 per cell]

***

Starting from a PBE-relaxed structure, the powder X-ray diffraction pattern of GdErAlIr2 was simulated for λ = 1.5418 Å (Cu Kα).
No peak broadening, texture or thermal motion is included.

Principal peaks in the range 5 to 70 degrees two-theta, low angle first:
2θ (°)  d_spacing  I/Imax  hkl
24.11  3.691  42.4  1 0 1
26.63  3.348  40.7  1 1 0
34.00  2.636  53.4  1 1 2
37.36  2.407  82.5  0 2 2
38.48  2.340  79.6  1 0 3
39.42  2.286  100.0  1 2 1
59.28  1.559  43.8  2 2 2
67.49  1.388  42.4  1 2 5

Lattice parameters (Å, degrees): 4.092 5.823 8.556 90.00 90.00 90.00
Space group Imm2 (No. 44)
Symmetry-distinct sites (fractional):
1 Gd 0.000 0.000 0.000 [2 per cell]
2 Er 0.000 0.000 0.604 [2 per cell]
3 Al 0.000 0.500 0.802 [2 per cell]
4 Ir 0.000 0.259 0.302 [4 per cell]

***

Starting from a PBE-relaxed structure, the powder X-ray diffraction pattern of NdEr2Al3Ge2Pt was simulated for λ = 1.5418 Å (Cu Kα).
No peak broadening, texture or thermal motion is included.

Principal peaks in the range 5 to 70 degrees two-theta, low angle first:
2θ (°)  d_spacing  I/Imax  hkl
20.89  4.253  34.3  1 0 0
25.35  3.513  27.8  0 0 2
29.35  3.043  38.5  0 4 0
33.07  2.709  50.3  1 0 2
36.30  2.475  100.0  1 2 2
42.51  2.127  24.0  2 0 0
44.67  2.029  20.8  0 3 3
44.79  2.023  26.5  1 5 1

Lattice parameters (Å, degrees): 4.253 12.177 7.024 90.00 90.00 90.00
Space group Amm2 (No. 38)
Symmetry-distinct sites (fractional):
1 Nd 0.000 0.000 0.000 [2 per cell]
2 Er 0.000 0.208 0.621 [4 per cell]
3 Al 0.500 0.000 0.648 [2 per cell]
4 Al 0.500 0.116 0.302 [4 per cell]
5 Ge 0.500 0.172 0.913 [4 per cell]
6 Pt 0.000 0.000 0.428 [2 per cell]

***

Starting from a PBE-relaxed structure, the powder X-ray diffraction pattern of Er5Al3Ni3Ge4 was simulated for λ = 1.5418 Å (Cu Kα).
No peak broadening, texture or thermal motion is included.

Principal peaks in the range 5 to 70 degrees two-theta, low angle first:
2θ (°)  d_spacing  I/Imax  hkl
9.24  9.570  23.4  0 2 0
21.78  4.081  35.0  1 1 0
34.12  2.628  46.1  1 1 2
34.35  2.610  99.4  1 5 1
36.68  2.450  100.0  1 3 2
38.51  2.337  19.8  0 6 2
39.39  2.288  44.4  1 7 0
43.32  2.088  49.1  2 0 0

Lattice parameters (Å, degrees): 4.177 19.140 6.870 90.00 90.00 90.00
Space group Pmmn (No. 59, origin choice 2)
Symmetry-distinct sites (fractional):
1 Er 0.250 0.071 0.000 [4 per cell]
2 Er 0.250 0.119 0.496 [4 per cell]
3 Er 0.250 0.250 0.114 [2 per cell]
4 Al 0.250 0.678 0.184 [4 per cell]
5 Al 0.250 0.750 0.527 [2 per cell]
6 Ni 0.250 0.250 0.706 [2 per cell]
7 Ni 0.250 0.526 0.666 [4 per cell]
8 Ge 0.250 0.539 0.297 [4 per cell]
9 Ge 0.250 0.646 0.790 [4 per cell]